Computed powder diffraction line list of CsVF4 for a wavelength of 1.5418 Å, from DFT lattice parameters and positions (PBE+U).

Cell and atoms:
```
24
Lattice="7.9046 0.0000 0.0000 0.0000 7.9149 0.0000 0.0000 0.0000 6.7201" Properties=species:S:1:pos:R:3 pbc="T T T"
Cs 1.9762 1.9787 0.1110
Cs 1.9762 5.9362 0.2748
Cs 5.9285 1.9787 6.4453
Cs 5.9285 5.9362 6.6091
V 0.0000 0.0000 3.3600
V 0.0000 3.9574 3.3600
V 3.9523 0.0000 3.3600
V 3.9523 3.9574 3.3600
F 0.2269 4.0763 5.2677
F 0.2269 7.7961 5.2677
F 0.3318 5.9362 3.1564
F 1.9762 0.3338 3.0798
F 1.9762 3.6236 3.0798
F 3.6205 5.9362 3.1564
F 3.7254 4.0763 5.2677
F 3.7254 7.7961 5.2677
F 4.1793 0.1188 1.4524
F 4.1793 3.8386 1.4524
F 4.2841 1.9787 3.5637
F 5.9285 4.2913 3.6403
F 5.9285 7.5811 3.6403
F 7.5728 1.9787 3.5637
F 7.6777 0.1188 1.4524
F 7.6777 3.8386 1.4524
```

Most intense lines, 10 to 80 degrees two-theta, in order of falling intensity:
hkl 2 0 1, 26.1°, I 100; hkl 2 2 0, 32.0°, I 35; hkl 4 2 1, 53.6°, I 30; hkl 0 0 2, 26.5°, I 25; hkl 2 2 1, 34.7°, I 23; hkl 2 0 3, 46.6°, I 23